Theoretical X-ray diffraction stick pattern of YCo2B4Rh2 for copper Kα, from a DFT-relaxed cell (GGA-PBE, Alexandria).
Intensities are scaled so that the largest is 100.

Structural model:
```
data_YCo2B4Rh2
_space_group_name_H-M_alt 'P 1'
_space_group_IT_number 1
_space_group_name_Hall 'P 1'
_cell_length_a 5.2072
_cell_length_b 5.2072
_cell_length_c 7.2216
_cell_angle_alpha 90.00
_cell_angle_beta 90.00
_cell_angle_gamma 90.00
loop_
_atom_site_label
_atom_site_fract_x
_atom_site_fract_y
_atom_site_fract_z
_atom_site_occupancy
Y1 0.0000 0.5000 0.0000 1
Y2 0.5000 0.0000 0.5000 1
Co1 0.0000 0.2516 0.3515 1
Co2 0.0000 0.7484 0.3515 1
Co3 0.2516 0.0000 0.8515 1
Co4 0.7484 0.0000 0.8515 1
B1 0.0000 0.1643 0.6491 1
B2 0.0000 0.8357 0.6491 1
B3 0.1643 0.0000 0.1491 1
B4 0.3163 0.5000 0.3369 1
B5 0.5000 0.3163 0.8369 1
B6 0.5000 0.6837 0.8369 1
B7 0.6837 0.5000 0.3369 1
B8 0.8357 0.0000 0.1491 1
Rh1 0.2473 0.5000 0.6334 1
Rh2 0.5000 0.2473 0.1334 1
Rh3 0.5000 0.7527 0.1334 1
Rh4 0.7527 0.5000 0.6334 1
```

Most intense lines, 15 to 90 degrees two-theta, in order of falling intensity:
2θ (°), Rel. int.
40.71, 100
36.69, 95
41.32, 69
30.12, 52
46.40, 43
73.46, 32
49.51, 22
65.96, 22
72.63, 19
84.23, 18
66.40, 17
51.72, 17